(1)
This entry pairs a crystal structure of MgTe2Mo2W2Se4S2 with its computed XRD peak list. Radiation: Cu Kα (λ = 1.5418 Å). Structure: DFT lattice parameters and positions (PBE).

Largest 12 diffraction maxima, sorted by position, 2θ from 15° to 90°:
d [Å], I/Imax, index
2.888, 57, 1 0 0
2.866, 15, 0 1 2
2.755, 35, 1 0 5
2.702, 19, 0 1 6
2.579, 79, 1 0 8
2.374, 32, 0 1 11
2.234, 100, 1 0 13
2.166, 35, 0 1 14
1.910, 22, 0 0 24
1.668, 44, 1 1 0
1.641, 30, 1 1 5
1.337, 19, 0 2 13

Atomic structure:
a = 3.3359 Å, b = 3.3359 Å, c = 45.8245 Å
α = 90.00°, β = 90.00°, γ = 120.00°
Space group P3m1 (No. 156)
Inequivalent atoms, fractional coordinates:
1 Mg 0.0000 0.0000 0.0000 x1
2 Te 0.6667 0.3333 0.4848 x1
3 Te 0.6667 0.3333 0.5677 x1
4 Mo 0.3333 0.6667 0.5263 x1
5 Mo 0.6667 0.3333 0.7146 x1
6 W 0.3333 0.6667 0.8948 x1
7 W 0.6667 0.3333 0.0978 x1
8 Se 0.3333 0.6667 0.6781 x1
9 Se 0.3333 0.6667 0.7510 x1
10 Se 0.6667 0.3333 0.8582 x1
11 Se 0.6667 0.3333 0.9317 x1
12 S 0.3333 0.6667 0.0644 x1
13 S 0.3333 0.6667 0.1309 x1



(2)
This entry pairs a crystal structure of AcEuMg2 with its computed XRD peak list. Radiation: Cu Kα (λ = 1.5418 Å). Structure: DFT lattice parameters and positions (PBE).

Largest 12 diffraction maxima, sorted by position, 2θ from 15° to 90°:
d [Å], I/Imax, index
4.083, 67, 2 0 0
2.887, 100, 2 2 0
2.358, 22, 2 2 2
2.042, 19, 4 0 0
1.826, 31, 4 2 0
1.667, 40, 4 2 2
1.444, 12, 4 4 0
1.361, 15, 6 0 0
1.291, 17, 6 2 0
1.231, 9, 6 2 2
1.133, 7, 6 4 0
1.091, 21, 6 4 2

Atomic structure:
a = 8.1670 Å, b = 8.1670 Å, c = 8.1670 Å
α = 90.00°, β = 90.00°, γ = 90.00°
Space group Fm-3m (No. 225)
Inequivalent atoms, fractional coordinates:
1 Ac 0.0000 0.0000 0.0000 x4
2 Eu 0.0000 0.0000 0.5000 x4
3 Mg 0.2500 0.2500 0.2500 x8



(3)
This entry pairs a crystal structure of Nd3Ge13Rh4 with its computed XRD peak list. Radiation: Cu Kα (λ = 1.5418 Å). Structure: DFT lattice parameters and positions (PBE).

Largest 12 diffraction maxima, sorted by position, 2θ from 15° to 90°:
d [Å], I/Imax, index
2.632, 20, 2 2 2
2.529, 100, 3 2 0
2.437, 40, 3 2 1
2.280, 32, 4 0 0
2.212, 11, 4 1 0
2.039, 13, 4 2 0
1.861, 23, 4 2 2
1.612, 10, 4 4 0
1.564, 12, 4 3 3
1.479, 14, 5 3 2
1.375, 21, 6 2 2
1.253, 10, 6 4 1

Atomic structure:
a = 9.1185 Å, b = 9.1185 Å, c = 9.1185 Å
α = 90.00°, β = 90.00°, γ = 90.00°
Space group Pm-3n (No. 223)
Inequivalent atoms, fractional coordinates:
1 Nd 0.0000 0.2500 0.5000 x6
2 Ge 0.0000 0.0000 0.0000 x2
3 Ge 0.0000 0.3083 0.1496 x24
4 Rh 0.2500 0.2500 0.2500 x8



Q: Which formula does entry 1 have?
A: MgTe2Mo2W2Se4S2